Calculated powder X-ray diffraction pattern of Tm3TeC2 for CuKα, from a structure optimized by DFT (GGA-PBE).

Atomic structure:
Cell: 6.323 3.556 10.885 Å, 90.00 98.42 90.00°
Fractional positions:
Tm 0.038 0.250 0.375
Tm 0.235 0.750 0.896
Tm 0.436 0.250 0.624
Tm 0.564 0.750 0.376
Tm 0.765 0.250 0.104
Tm 0.962 0.750 0.625
Te 0.286 0.250 0.138
Te 0.714 0.750 0.862
C 0.170 0.250 0.759
C 0.257 0.750 0.495
C 0.743 0.250 0.505
C 0.830 0.750 0.241

Top 12 peaks for 2θ from 15° to 90°, most intense first:
2θ 30.91, I = 100, (2 0 1)
2θ 33.28, I = 92, (0 0 4)
2θ 34.49, I = 86, (1 1 2)
2θ 29.48, I = 79, (1 1 -1)
2θ 35.20, I = 64, (2 0 -3)
2θ 30.12, I = 58, (0 1 2)
2θ 28.53, I = 40, (2 0 -1)
2θ 40.18, I = 40, (2 1 -2)
2θ 43.71, I = 37, (2 1 2)
2θ 32.34, I = 36, (1 1 -2)
2θ 26.40, I = 35, (0 1 1)
2θ 51.40, I = 34, (0 2 0)